Entry 1:
Diffraction record for KBiP2Se6. The powder diffractogram is calculated, not measured: it uses the GGA-PBE geometry in Alexandria and copper Kα.

The 6 most intense peaks (2θ = 10–90°), in order of rising 2θ:
| 2θ (°) | I/Imax |
| --- | --- |
| 16.9 | 81 |
| 24.2 | 89 |
| 28.4 | 73 |
| 31.0 | 100 |
| 34.2 | 67 |
| 36.7 | 70 |

Structure:
```
KBiP2Se6
1.0
7.0634 0.0000 0.0000
0.0000 7.8423 0.0000
-0.4070 0.0000 10.5373
K Bi P Se
2 2 4 12
Direct
0.1988 0.0000 0.0019 K
0.8012 0.5000 0.9981 K
0.2929 0.2449 0.4852 Bi
0.7071 0.7449 0.5148 Bi
0.1887 0.7038 0.3280 P
0.2933 0.4851 0.2063 P
0.7067 0.9851 0.7937 P
0.8113 0.2038 0.6720 P
0.0808 0.2832 0.2333 Se
0.0806 0.2980 0.7544 Se
0.1493 0.5847 0.5204 Se
0.3226 0.5709 0.0144 Se
0.4199 0.8987 0.3283 Se
0.4452 0.9001 0.6836 Se
0.5548 0.4001 0.3164 Se
0.5801 0.3987 0.6717 Se
0.6774 0.0709 0.9856 Se
0.8507 0.0847 0.4796 Se
0.9192 0.7832 0.7667 Se
0.9194 0.7980 0.2456 Se
```

Entry 2:
Diffraction record for KBi4Pb. The powder diffractogram is calculated, not measured: it uses the GGA-PBE geometry in Alexandria and copper Kα.

The 6 most intense peaks (2θ = 10–90°), in order of rising 2θ:
| 2θ (°) | I/Imax |
| --- | --- |
| 16.2 | 31 |
| 31.4 | 100 |
| 32.8 | 59 |
| 50.1 | 37 |
| 54.9 | 34 |
| 65.4 | 25 |

Structure:
```
KBi4Pb
1.0
0.0000 4.7314 4.7314
4.7314 0.0000 4.7314
4.7314 4.7314 0.0000
K Bi Pb
1 4 1
Direct
0.0000 0.0000 0.0000 K
0.1284 0.6239 0.6239 Bi
0.6239 0.1284 0.6239 Bi
0.6239 0.6239 0.1284 Bi
0.6239 0.6239 0.6239 Bi
0.2500 0.2500 0.2500 Pb
```

Entry 3:
Diffraction record for K3Bi2Pb2. The powder diffractogram is calculated, not measured: it uses the GGA-PBE geometry in Alexandria and copper Kα.

The 6 most intense peaks (2θ = 10–90°), in order of rising 2θ:
| 2θ (°) | I/Imax |
| --- | --- |
| 11.2 | 82 |
| 15.8 | 100 |
| 28.0 | 42 |
| 29.8 | 50 |
| 31.1 | 45 |
| 37.1 | 46 |

Structure:
```
K3Bi2Pb2
1.0
7.8979 0.0000 0.0000
0.0000 9.2734 0.0000
0.0000 0.0000 15.8867
K Bi Pb
12 8 8
Direct
0.0793 0.0481 0.1179 K
0.0793 0.0481 0.3821 K
0.0793 0.4519 0.6179 K
0.0793 0.4519 0.8821 K
0.3698 0.6999 0.2500 K
0.3698 0.8001 0.7500 K
0.6302 0.1999 0.2500 K
0.6302 0.3001 0.7500 K
0.9207 0.5481 0.1179 K
0.9207 0.5481 0.3821 K
0.9207 0.9519 0.6179 K
0.9207 0.9519 0.8821 K
0.2086 0.1637 0.7500 Bi
0.2086 0.3363 0.2500 Bi
0.3064 0.7500 0.0000 Bi
0.3064 0.7500 0.5000 Bi
0.6936 0.2500 0.0000 Bi
0.6936 0.2500 0.5000 Bi
0.7914 0.6637 0.7500 Bi
0.7914 0.8363 0.2500 Bi
0.3549 0.1058 0.5658 Pb
0.3549 0.1058 0.9342 Pb
0.3549 0.3942 0.0658 Pb
0.3549 0.3942 0.4342 Pb
0.6451 0.6058 0.5658 Pb
0.6451 0.6058 0.9342 Pb
0.6451 0.8942 0.0658 Pb
0.6451 0.8942 0.4342 Pb
```

Entry 4:
Diffraction record for KBi6Pb5. The powder diffractogram is calculated, not measured: it uses the GGA-PBE geometry in Alexandria and copper Kα.

The 6 most intense peaks (2θ = 10–90°), in order of rising 2θ:
| 2θ (°) | I/Imax |
| --- | --- |
| 30.5 | 100 |
| 30.6 | 99 |
| 34.7 | 35 |
| 35.5 | 34 |
| 36.1 | 32 |
| 50.9 | 24 |

Structure:
```
KBi6Pb5
1.0
5.7437 -7.4645 0.0000
5.7437 7.4645 0.0000
-2.1929 0.0000 4.5591
K Bi Pb
1 6 5
Direct
0.0000 0.0000 0.0000 K
0.0908 0.4234 0.2571 Bi
0.2622 0.2622 0.7596 Bi
0.4234 0.0908 0.2571 Bi
0.5766 0.9092 0.7429 Bi
0.7378 0.7378 0.2404 Bi
0.9092 0.5766 0.7429 Bi
0.1764 0.8236 0.5000 Pb
0.3292 0.6708 0.0000 Pb
0.5000 0.5000 0.5000 Pb
0.6708 0.3292 0.0000 Pb
0.8236 0.1764 0.5000 Pb
```

Entry 5:
Diffraction record for K3Bi2Pb. The powder diffractogram is calculated, not measured: it uses the GGA-PBE geometry in Alexandria and copper Kα.

The 6 most intense peaks (2θ = 10–90°), in order of rising 2θ:
| 2θ (°) | I/Imax |
| --- | --- |
| 11.8 | 30 |
| 18.8 | 30 |
| 18.9 | 100 |
| 30.9 | 61 |
| 31.0 | 61 |
| 31.3 | 61 |

Structure:
```
K3Bi2Pb
1.0
9.5397 -2.8937 0.0000
9.5397 2.8937 0.0000
-1.9193 0.0000 9.7914
K Bi Pb
6 4 2
Direct
0.0604 0.0604 0.1878 K
0.1884 0.1884 0.5525 K
0.3182 0.3182 0.9413 K
0.6818 0.6818 0.0587 K
0.8116 0.8116 0.4475 K
0.9396 0.9396 0.8122 K
0.1215 0.1215 0.8464 Bi
0.3961 0.3961 0.6074 Bi
0.6039 0.6039 0.3926 Bi
0.8785 0.8785 0.1536 Bi
0.4339 0.4339 0.3117 Pb
0.5661 0.5661 0.6883 Pb
```

Entry 6:
Diffraction record for KBiPtPb. The powder diffractogram is calculated, not measured: it uses the GGA-PBE geometry in Alexandria and copper Kα.

The 6 most intense peaks (2θ = 10–90°), in order of rising 2θ:
| 2θ (°) | I/Imax |
| --- | --- |
| 11.1 | 100 |
| 25.0 | 34 |
| 31.8 | 54 |
| 39.2 | 34 |
| 40.8 | 50 |
| 51.3 | 26 |

Structure:
```
KBiPtPb
1.0
3.9849 -2.3002 0.0000
3.9849 2.3002 0.0000
-0.0110 0.0000 7.9710
K Bi Pt Pb
1 1 1 1
Direct
0.0000 0.0000 0.0000 K
0.6669 0.6669 0.2888 Bi
0.3337 0.3337 0.3959 Pt
0.0006 0.0006 0.5510 Pb
```

Entry 7:
Diffraction record for KBiPb2S4. The powder diffractogram is calculated, not measured: it uses the GGA-PBE geometry in Alexandria and copper Kα.

The 6 most intense peaks (2θ = 10–90°), in order of rising 2θ:
| 2θ (°) | I/Imax |
| --- | --- |
| 12.8 | 31 |
| 25.7 | 61 |
| 25.8 | 61 |
| 29.7 | 100 |
| 30.1 | 48 |
| 42.8 | 73 |

Structure:
```
KBiPb2S4
1.0
-4.2402 4.2666 5.9445
4.2402 -4.2666 5.9445
4.2402 4.2666 -5.9445
K Bi Pb S
2 2 4 8
Direct
0.5000 0.0000 0.0000 K
0.5000 0.5000 0.5000 K
0.0000 0.0000 0.0000 Bi
0.5000 0.0000 0.5000 Bi
0.0000 0.0000 0.5000 Pb
0.0000 0.5000 0.0000 Pb
0.0000 0.5000 0.5000 Pb
0.5000 0.5000 0.0000 Pb
0.2312 0.2420 0.9892 S
0.2472 0.7580 0.4892 S
0.2476 0.2352 0.4876 S
0.2476 0.7600 0.0124 S
0.7524 0.2400 0.9876 S
0.7524 0.7648 0.5124 S
0.7528 0.2420 0.5108 S
0.7688 0.7580 0.0108 S
```

Entry 8:
Diffraction record for K2Bi2Sb2Pb5. The powder diffractogram is calculated, not measured: it uses the GGA-PBE geometry in Alexandria and copper Kα.

The 6 most intense peaks (2θ = 10–90°), in order of rising 2θ:
| 2θ (°) | I/Imax |
| --- | --- |
| 18.3 | 74 |
| 25.7 | 100 |
| 31.0 | 96 |
| 33.8 | 90 |
| 34.5 | 47 |
| 38.3 | 56 |

Structure:
```
K2Bi2Sb2Pb5
1.0
-2.6521 2.6521 18.0770
2.6521 -2.6521 18.0770
2.6521 2.6521 -18.0770
K Bi Sb Pb
2 2 2 5
Direct
0.2119 0.2119 0.0000 K
0.7881 0.7881 0.0000 K
0.3139 0.3139 0.0000 Bi
0.6861 0.6861 0.0000 Bi
0.0825 0.0825 0.0000 Sb
0.9175 0.9175 0.0000 Sb
0.0000 0.0000 0.0000 Pb
0.1306 0.6306 0.5000 Pb
0.3694 0.8694 0.5000 Pb
0.6306 0.1306 0.5000 Pb
0.8694 0.3694 0.5000 Pb
```

Entry 9:
Diffraction record for KTlBiPb. The powder diffractogram is calculated, not measured: it uses the GGA-PBE geometry in Alexandria and copper Kα.

The 6 most intense peaks (2θ = 10–90°), in order of rising 2θ:
| 2θ (°) | I/Imax |
| --- | --- |
| 14.2 | 100 |
| 26.8 | 33 |
| 30.5 | 78 |
| 33.0 | 99 |
| 36.0 | 66 |
| 57.3 | 27 |

Structure:
```
KTlBiPb
1.0
2.7184 1.5694 6.2521
-2.7184 1.5694 6.2521
0.0000 -3.1389 6.2521
K Tl Bi Pb
1 1 1 1
Direct
0.0000 0.0000 0.0000 K
0.4495 0.4495 0.4495 Tl
0.2058 0.2058 0.2058 Bi
0.8049 0.8049 0.8049 Pb
```

Entry 10:
Diffraction record for K4BiPd5. The powder diffractogram is calculated, not measured: it uses the GGA-PBE geometry in Alexandria and copper Kα.

The 6 most intense peaks (2θ = 10–90°), in order of rising 2θ:
| 2θ (°) | I/Imax |
| --- | --- |
| 12.5 | 100 |
| 16.4 | 23 |
| 35.2 | 28 |
| 37.8 | 21 |
| 39.9 | 16 |
| 40.0 | 16 |

Structure:
```
K4BiPd5
1.0
7.0709 -3.2168 0.0000
7.0709 3.2168 0.0000
-7.0235 0.0000 7.0803
K Bi Pd
4 1 5
Direct
0.0993 0.0993 0.2916 K
0.3081 0.3067 0.9048 K
0.6933 0.6919 0.0952 K
0.9007 0.9007 0.7084 K
0.2409 0.7591 0.5000 Bi
0.3367 0.2901 0.2468 Pd
0.4562 0.4104 0.6215 Pd
0.5896 0.5438 0.3785 Pd
0.7099 0.6633 0.7532 Pd
0.8303 0.1697 0.5000 Pd
```

Entry 11:
Diffraction record for K2Bi5Pd3. The powder diffractogram is calculated, not measured: it uses the GGA-PBE geometry in Alexandria and copper Kα.

The 6 most intense peaks (2θ = 10–90°), in order of rising 2θ:
| 2θ (°) | I/Imax |
| --- | --- |
| 16.6 | 50 |
| 30.7 | 93 |
| 31.0 | 100 |
| 36.7 | 52 |
| 37.7 | 77 |
| 40.8 | 68 |

Structure:
```
K2Bi5Pd3
1.0
2.3873 -14.6104 0.0000
2.3873 14.6104 0.0000
0.0000 0.0000 7.7944
K Bi Pd
4 10 6
Direct
0.0222 0.9778 0.5000 K
0.3249 0.6751 0.5235 K
0.6751 0.3249 0.0235 K
0.9778 0.0222 0.0000 K
0.0977 0.9023 0.8812 Bi
0.2055 0.7945 0.3217 Bi
0.2111 0.7889 0.7356 Bi
0.3789 0.6211 0.9879 Bi
0.4483 0.5517 0.6628 Bi
0.5517 0.4483 0.1628 Bi
0.6211 0.3789 0.4879 Bi
0.7889 0.2111 0.2356 Bi
0.7945 0.2055 0.8217 Bi
0.9023 0.0977 0.3812 Bi
0.1074 0.8926 0.2468 Pd
0.2751 0.7249 0.0304 Pd
0.4413 0.5587 0.2845 Pd
0.5587 0.4413 0.7845 Pd
0.7249 0.2751 0.5304 Pd
0.8926 0.1074 0.7468 Pd
```

Entry 12:
Diffraction record for K2Bi4Pd3Pt. The powder diffractogram is calculated, not measured: it uses the GGA-PBE geometry in Alexandria and copper Kα.

The 6 most intense peaks (2θ = 10–90°), in order of rising 2θ:
| 2θ (°) | I/Imax |
| --- | --- |
| 16.1 | 54 |
| 19.7 | 40 |
| 30.4 | 100 |
| 36.4 | 70 |
| 41.9 | 75 |
| 69.2 | 35 |

Structure:
```
K2Bi4Pd3Pt
1.0
4.9402 0.0000 0.0000
0.0000 4.9402 0.0000
0.0000 0.0000 10.9791
K Bi Pd Pt
2 4 3 1
Direct
0.0000 0.5000 0.2423 K
0.5000 0.0000 0.7577 K
0.0000 0.0000 0.5000 Bi
0.0000 0.5000 0.8821 Bi
0.5000 0.0000 0.1179 Bi
0.5000 0.5000 0.5000 Bi
0.0000 0.0000 0.0000 Pd
0.0000 0.5000 0.6258 Pd
0.5000 0.0000 0.3742 Pd
0.5000 0.5000 0.0000 Pt
```